1.
Theoretical powder diffractogram of InSb3 for Cu Kα (λ = 1.5418 Å), from a crystal structure in Alexandria, relaxed with PBE.
Kinematic intensities with the Lorentz-polarization factor, no thermal factor.

Structural model:
Lattice parameters (Å, degrees): 3.8958 5.2921 10.5996 90.00 90.00 90.00
Positions (direct):
In  0.0000  0.0000  0.0000
In  0.5000  0.5000  0.0000
Sb  0.0000  0.0000  0.5000
Sb  0.0000  0.5000  0.2532
Sb  0.0000  0.5000  0.7468
Sb  0.5000  0.0000  0.2532
Sb  0.5000  0.0000  0.7468
Sb  0.5000  0.5000  0.5000

The 10 most intense peaks (10 to 80 degrees two-theta), in order of rising 2θ:
- (1 1 2), d 2.700, 33.18°, I = 100
- (0 2 0), d 2.648, 33.85°, I = 47
- (2 0 0), d 1.948, 46.63°, I = 10
- (0 2 4), d 1.872, 48.63°, I = 17
- (2 2 0), d 1.569, 58.85°, I = 19
- (1 3 2), d 1.539, 60.14°, I = 35
- (2 2 4), d 1.350, 69.65°, I = 11
- (0 0 8), d 1.325, 71.16°, I = 3
- (0 4 0), d 1.323, 71.28°, I = 3
- (3 1 2), d 1.227, 77.85°, I = 8

***

2.
Theoretical powder diffractogram of Tb2GaIr for Cu Kα (λ = 1.5418 Å), from a crystal structure in Alexandria, relaxed with PBE.
Kinematic intensities with the Lorentz-polarization factor, no thermal factor.

Structural model:
Lattice parameters (Å, degrees): 3.5528 3.5528 6.9380 90.00 90.00 90.00
Positions (direct):
Tb  0.0000  0.0000  0.2342
Tb  0.0000  0.0000  0.7658
Ga  0.5000  0.5000  0.5000
Ir  0.5000  0.5000  0.0000

The 10 most intense peaks (10 to 80 degrees two-theta), in order of rising 2θ:
- (0 0 1), d 6.938, 12.76°, I = 19
- (1 1 0), d 2.512, 35.74°, I = 53
- (1 0 2), d 2.482, 36.19°, I = 100
- (1 0 3), d 1.938, 46.88°, I = 6
- (2 0 0), d 1.776, 51.44°, I = 19
- (0 0 4), d 1.734, 52.78°, I = 8
- (2 1 2), d 1.445, 64.51°, I = 37
- (1 1 4), d 1.427, 65.38°, I = 17
- (2 2 0), d 1.256, 75.72°, I = 6
- (2 0 4), d 1.241, 76.81°, I = 11